Calculated XRD peak list
Compound: Li3Mg8Ga
Radiation: Cu Kα
Structure: DFT lattice parameters and positions (PBE)
Intensities are scaled so that the largest is 100.

Most intense lines, 10 to 90 degrees two-theta, by angle:
index  2theta  I/Imax
0 0 1  13.7  62
1 0 -1  18.0  32
0 1 1  20.3  24
2 -2 0  36.4  53
1 0 2  36.5  100
1 2 0  36.7  49
0 2 -2  37.5  48
-1 2 2  37.6  47
3 0 0  51.0  18
0 2 4  67.2  16

Atomic structure:
Cell lengths 5.888, 6.769, 6.783 Å; angles 90.25, 106.68, 107.02 degrees
Space group P1 (No. 1)
One atom of each set of equivalent atoms:
Li1 0.000 0.000 0.000 x1
Li2 0.000 0.000 0.500 x1
Li3 0.000 0.499 0.500 x1
Mg1 0.311 0.330 0.830 x1
Mg2 0.312 0.826 0.327 x1
Mg3 0.315 0.825 0.830 x1
Mg4 0.316 0.330 0.326 x1
Mg5 0.684 0.173 0.170 x1
Mg6 0.684 0.670 0.674 x1
Mg7 0.686 0.171 0.673 x1
Mg8 0.689 0.669 0.170 x1
Ga1 0.999 0.499 0.000 x1